Starting from a PBE-relaxed structure, the powder diffraction line list of MnFeSn4 was calculated for Cu Ka.
Neutral-atom scattering factors, no anomalous dispersion.

```
data_MnFeSn4
_chemical_formula_sum 'Mn2 Fe2 Sn8'
_cell_length_a 6.510
_cell_length_b 6.510
_cell_length_c 5.308
_cell_angle_alpha 90.00
_cell_angle_beta 90.00
_cell_angle_gamma 90.00
_space_group_name_H-M_alt 'I 4 2 2'
_space_group_IT_number 97
_space_group_name_Hall 'I 4 2'
loop_
_atom_site_label
_atom_site_type_symbol
_atom_site_fract_x
_atom_site_fract_y
_atom_site_fract_z
Mn1 Mn 0.000 0.000 0.000
Fe1 Fe 0.000 0.000 0.500
Sn1 Sn 0.163 0.337 0.250
```

Principal peaks in the range 2θ from 5° to 70°, by angle:
27.40 deg, I = 4
33.77 deg, I = 14
35.16 deg, I = 100
39.17 deg, I = 23
44.00 deg, I = 49
56.57 deg, I = 6
60.32 deg, I = 6
61.28 deg, I = 38
63.96 deg, I = 4
67.51 deg, I = 9

***

Starting from a PBE-relaxed structure, the powder diffraction line list of SmTmIn2 was calculated for Cu Ka.
Neutral-atom scattering factors, no anomalous dispersion.

```
data_SmTmIn2
_chemical_formula_sum 'Sm4 Tm4 In8'
_cell_length_a 7.545
_cell_length_b 7.545
_cell_length_c 7.545
_cell_angle_alpha 90.00
_cell_angle_beta 90.00
_cell_angle_gamma 90.00
_space_group_name_H-M_alt 'F m -3 m'
_space_group_IT_number 225
_space_group_name_Hall '-F 4 2 3'
loop_
_atom_site_label
_atom_site_type_symbol
_atom_site_fract_x
_atom_site_fract_y
_atom_site_fract_z
Sm1 Sm 0.000 0.000 0.000
Tm1 Tm 0.000 0.000 0.500
In1 In 0.250 0.250 0.250
```

Principal peaks in the range 2θ from 5° to 70°, by angle:
23.58 deg, I = 3
33.60 deg, I = 100
41.46 deg, I = 1
48.25 deg, I = 18
54.38 deg, I = 1
60.07 deg, I = 37

***

Starting from a PBE-relaxed structure, the powder diffraction line list of NaTbO2 was calculated for Cu Ka.
Neutral-atom scattering factors, no anomalous dispersion.

```
data_NaTbO2
_chemical_formula_sum 'Na4 Tb4 O8'
_cell_length_a 4.643
_cell_length_b 4.643
_cell_length_c 10.513
_cell_angle_alpha 90.00
_cell_angle_beta 90.00
_cell_angle_gamma 90.00
_space_group_name_H-M_alt 'I 41/a m d'
_space_group_IT_number 141
loop_
_space_group_symop_operation_xyz
'x,y,z'
'-x,-y,-z'
'-y+1/4,x+3/4,z+1/4'
'y+1/4,-x+3/4,-z+1/4'
'-x+1/2,-y,z+1/2'
'x+1/2,y,-z+1/2'
'y+1/4,-x+1/4,z+3/4'
'-y+1/4,x+1/4,-z+3/4'
'x,-y,-z'
'-x,y,z'
'-y+1/4,-x+1/4,-z+3/4'
'y+1/4,x+1/4,z+3/4'
'-x+1/2,y,-z+1/2'
'x+1/2,-y,z+1/2'
'y+1/4,x+3/4,-z+1/4'
'-y+1/4,-x+3/4,z+1/4'
'x+1/2,y+1/2,z+1/2'
'-x+1/2,-y+1/2,-z+1/2'
'-y+3/4,x+1/4,z+3/4'
'y+3/4,-x+1/4,-z+3/4'
'-x,-y+1/2,z'
'x,y+1/2,-z'
'y+3/4,-x+3/4,z+1/4'
'-y+3/4,x+3/4,-z+1/4'
'x+1/2,-y+1/2,-z+1/2'
'-x+1/2,y+1/2,z+1/2'
'-y+3/4,-x+3/4,-z+1/4'
'y+3/4,x+3/4,z+1/4'
'-x,y+1/2,-z'
'x,-y+1/2,z'
'y+3/4,x+1/4,-z+3/4'
'-y+3/4,-x+1/4,z+3/4'
loop_
_atom_site_label
_atom_site_type_symbol
_atom_site_fract_x
_atom_site_fract_y
_atom_site_fract_z
Na1 Na 0.000 0.250 0.375
Tb1 Tb 0.000 0.250 0.875
O1 O 0.000 0.250 0.095
```

Principal peaks in the range 2θ from 5° to 70°, by angle:
20.91 deg, I = 100
32.00 deg, I = 23
32.14 deg, I = 80
34.11 deg, I = 32
38.79 deg, I = 49
44.47 deg, I = 28
52.60 deg, I = 36
59.83 deg, I = 17
66.06 deg, I = 25
67.24 deg, I = 17

***

Starting from a PBE-relaxed structure, the powder diffraction line list of KICl2 was calculated for Cu Ka.
Neutral-atom scattering factors, no anomalous dispersion.

```
data_KICl2
_chemical_formula_sum 'K8 I8 Cl16'
_cell_length_a 8.522
_cell_length_b 11.936
_cell_length_c 12.819
_cell_angle_alpha 90.00
_cell_angle_beta 110.62
_cell_angle_gamma 90.00
_space_group_name_H-M_alt 'P 1 21/c 1'
_space_group_IT_number 14
_space_group_name_Hall '-P 2ybc'
loop_
_atom_site_label
_atom_site_type_symbol
_atom_site_fract_x
_atom_site_fract_y
_atom_site_fract_z
K1 K 0.033 0.039 0.314
K2 K 0.392 0.170 0.076
I1 I 0.195 0.625 0.579
I2 I 0.399 0.528 0.122
Cl1 Cl 0.132 0.702 0.742
Cl2 Cl 0.160 0.120 0.570
Cl3 Cl 0.271 0.539 0.416
Cl4 Cl 0.365 0.175 0.326
```

Principal peaks in the range 2θ from 5° to 70°, by angle:
14.83 deg, I = 31
15.03 deg, I = 32
21.43 deg, I = 100
23.51 deg, I = 70
25.69 deg, I = 52
26.64 deg, I = 26
26.99 deg, I = 52
27.22 deg, I = 34
27.85 deg, I = 37
43.70 deg, I = 28

***

Starting from a PBE-relaxed structure, the powder diffraction line list of Ti6Sn5 was calculated for Cu Ka.
Neutral-atom scattering factors, no anomalous dispersion.

```
data_Ti6Sn5
_chemical_formula_sum 'Ti24 Sn20'
_cell_length_a 5.736
_cell_length_b 9.162
_cell_length_c 16.539
_cell_angle_alpha 90.00
_cell_angle_beta 90.00
_cell_angle_gamma 90.00
_space_group_name_H-M_alt 'I m m m'
_space_group_IT_number 71
_space_group_name_Hall '-I 2 2'
loop_
_atom_site_label
_atom_site_type_symbol
_atom_site_fract_x
_atom_site_fract_y
_atom_site_fract_z
Ti1 Ti 0.000 0.000 0.158
Ti2 Ti 0.000 0.271 0.414
Ti3 Ti 0.234 0.000 0.500
Ti4 Ti 0.250 0.250 0.250
Sn1 Sn 0.000 0.000 0.331
Sn2 Sn 0.000 0.308 0.104
Sn3 Sn 0.000 0.500 0.292
Sn4 Sn 0.245 0.000 0.000
```

Principal peaks in the range 2θ from 5° to 70°, by angle:
29.09 deg, I = 19
29.76 deg, I = 39
31.20 deg, I = 42
33.22 deg, I = 27
37.51 deg, I = 18
38.14 deg, I = 100
38.60 deg, I = 78
39.34 deg, I = 28
39.92 deg, I = 30
58.62 deg, I = 14

***

Starting from a PBE-relaxed structure, the powder diffraction line list of LiNdIn2 was calculated for Cu Ka.
Neutral-atom scattering factors, no anomalous dispersion.

```
data_LiNdIn2
_chemical_formula_sum 'Li4 Nd4 In8'
_cell_length_a 7.412
_cell_length_b 7.412
_cell_length_c 7.412
_cell_angle_alpha 90.00
_cell_angle_beta 90.00
_cell_angle_gamma 90.00
_space_group_name_H-M_alt 'F m -3 m'
_space_group_IT_number 225
_space_group_name_Hall '-F 4 2 3'
loop_
_atom_site_label
_atom_site_type_symbol
_atom_site_fract_x
_atom_site_fract_y
_atom_site_fract_z
Li1 Li 0.000 0.000 0.000
Nd1 Nd 0.000 0.000 0.500
In1 In 0.250 0.250 0.250
```

Principal peaks in the range 2θ from 5° to 70°, by angle:
20.76 deg, I = 31
24.01 deg, I = 6
34.22 deg, I = 100
40.36 deg, I = 17
42.24 deg, I = 2
49.17 deg, I = 18
53.92 deg, I = 7
55.44 deg, I = 2
61.27 deg, I = 36
65.43 deg, I = 5

***

Starting from a PBE-relaxed structure, the powder diffraction line list of Rb3FeS3 was calculated for Cu Ka.
Neutral-atom scattering factors, no anomalous dispersion.

```
data_Rb3FeS3
_chemical_formula_sum 'Rb24 Fe8 S24'
_cell_length_a 19.279
_cell_length_b 6.987
_cell_length_c 12.928
_cell_angle_alpha 90.00
_cell_angle_beta 90.00
_cell_angle_gamma 90.00
_space_group_name_H-M_alt 'C m c e'
_space_group_IT_number 64
_space_group_name_Hall '-C 2ac 2'
loop_
_atom_site_label
_atom_site_type_symbol
_atom_site_fract_x
_atom_site_fract_y
_atom_site_fract_z
Rb1 Rb 0.000 0.136 0.178
Rb2 Rb 0.177 0.155 0.873
Fe1 Fe 0.081 0.000 0.500
S1 S 0.000 0.211 0.431
S2 S 0.147 0.145 0.619
```

Principal peaks in the range 2θ from 5° to 70°, by angle:
23.30 deg, I = 74
24.71 deg, I = 78
27.30 deg, I = 56
27.60 deg, I = 40
27.76 deg, I = 68
28.03 deg, I = 100
32.40 deg, I = 55
33.01 deg, I = 31
39.56 deg, I = 71
50.44 deg, I = 33

***

Starting from a PBE-relaxed structure, the powder diffraction line list of Ce2P3Au was calculated for Cu Ka.
Neutral-atom scattering factors, no anomalous dispersion.

```
data_Ce2P3Au
_chemical_formula_sum 'Ce8 P12 Au4'
_cell_length_a 7.655
_cell_length_b 4.165
_cell_length_c 16.051
_cell_angle_alpha 90.00
_cell_angle_beta 90.00
_cell_angle_gamma 90.00
_space_group_name_H-M_alt 'P n m a'
_space_group_IT_number 62
_space_group_name_Hall '-P 2ac 2n'
loop_
_atom_site_label
_atom_site_type_symbol
_atom_site_fract_x
_atom_site_fract_y
_atom_site_fract_z
Ce1 Ce 0.099 0.250 0.205
Ce2 Ce 0.239 0.250 0.475
P1 P 0.031 0.250 0.908
P2 P 0.118 0.750 0.588
P3 P 0.202 0.250 0.798
Au1 Au 0.010 0.250 0.650
```

Principal peaks in the range 2θ from 5° to 70°, by angle:
12.81 deg, I = 48
25.01 deg, I = 48
25.79 deg, I = 55
26.78 deg, I = 97
29.58 deg, I = 83
32.30 deg, I = 93
33.14 deg, I = 100
35.30 deg, I = 66
36.02 deg, I = 47
43.46 deg, I = 58